No. 1
Diffraction record for Li2Ga8Sn. The X-ray diffraction stick pattern is computed, not measured: it uses a DFT-relaxed cell (GGA-PBE, Alexandria) and Cu Kα X-rays.

Atomic structure:
```
data_Li2Ga8Sn
_chemical_formula_sum 'Li4 Ga16 Sn2'
_cell_length_a 7.3106
_cell_length_b 14.7505
_cell_length_c 4.5011
_cell_angle_alpha 90.00
_cell_angle_beta 119.31
_cell_angle_gamma 90.00
_symmetry_space_group_name_H-M 'C 1 2/m 1'
_symmetry_Int_Tables_number 12
loop_
_symmetry_equiv_pos_as_xyz
'x,y,z'
'-x,-y,-z'
'-x,y,-z'
'x,-y,z'
'x+1/2,y+1/2,z'
'-x+1/2,-y+1/2,-z'
'-x+1/2,y+1/2,-z'
'x+1/2,-y+1/2,z'
loop_
_atom_site_label
_atom_site_type_symbol
_atom_site_fract_x
_atom_site_fract_y
_atom_site_fract_z
Li1 Li 0.0000 0.1711 0.0000
Ga1 Ga 0.0000 0.2872 0.5000
Ga2 Ga 0.1108 0.0000 0.8393
Ga3 Ga 0.2145 0.3509 0.2153
Sn1 Sn 0.0000 0.5000 0.5000
```

Most intense lines, 5° ≤ 2θ ≤ 70°, most intense first:
| 2theta | intensity | (hkl) |
| --- | --- | --- |
| 32.7 | 100 | 1 1 1 |
| 37.3 | 67 | 2 4 0 |
| 36.5 | 64 | 0 6 0 |
| 41.4 | 61 | 3 3 -1 |
| 27.0 | 59 | 1 3 -1 |
| 35.8 | 53 | 2 4 -1 |

=====

No. 2
Diffraction record for Li5Ga2Sn4. The X-ray diffraction stick pattern is computed, not measured: it uses a DFT-relaxed cell (GGA-PBE, Alexandria) and Cu Kα X-rays.

Atomic structure:
```
data_Li5Ga2Sn4
_chemical_formula_sum 'Li10 Ga4 Sn8'
_cell_length_a 7.7438
_cell_length_b 17.3360
_cell_length_c 3.2178
_cell_angle_alpha 90.00
_cell_angle_beta 90.00
_cell_angle_gamma 90.00
_symmetry_space_group_name_H-M 'P b a m'
_symmetry_Int_Tables_number 55
loop_
_symmetry_equiv_pos_as_xyz
'x,y,z'
'-x,-y,-z'
'-x,-y,z'
'x,y,-z'
'x+1/2,-y+1/2,-z'
'-x+1/2,y+1/2,z'
'-x+1/2,y+1/2,-z'
'x+1/2,-y+1/2,z'
loop_
_atom_site_label
_atom_site_type_symbol
_atom_site_fract_x
_atom_site_fract_y
_atom_site_fract_z
Li1 Li 0.0000 0.0000 0.0000
Li2 Li 0.1295 0.4316 0.0000
Li3 Li 0.2291 0.2149 0.0000
Ga1 Ga 0.0303 0.3069 0.5000
Sn1 Sn 0.0921 0.8503 0.5000
Sn2 Sn 0.2107 0.5700 0.5000
```

Most intense lines, 5° ≤ 2θ ≤ 70°, most intense first:
| 2theta | intensity | (hkl) |
| --- | --- | --- |
| 27.7 | 100 | 0 0 1 |
| 23.5 | 88 | 1 4 0 |
| 36.7 | 68 | 1 4 1 |
| 36.3 | 41 | 3 2 0 |
| 46.3 | 38 | 3 2 1 |
| 25.2 | 37 | 2 2 0 |

=====

No. 3
Diffraction record for LiGaSn. The X-ray diffraction stick pattern is computed, not measured: it uses a DFT-relaxed cell (GGA-PBE, Alexandria) and Cu Kα X-rays.

Atomic structure:
```
data_LiGaSn
_chemical_formula_sum 'Li6 Ga6 Sn6'
_cell_length_a 4.4813
_cell_length_b 4.4813
_cell_length_c 22.6075
_cell_angle_alpha 90.00
_cell_angle_beta 90.00
_cell_angle_gamma 120.00
_symmetry_space_group_name_H-M 'R -3 m'
_symmetry_Int_Tables_number 166
_symmetry_space_group_name_Hall '-R 3 2"'
loop_
_atom_site_label
_atom_site_type_symbol
_atom_site_fract_x
_atom_site_fract_y
_atom_site_fract_z
Li1 Li 0.0000 0.0000 0.0638
Ga1 Ga 0.0000 0.0000 0.3226
Sn1 Sn 0.0000 0.0000 0.1961
```

Most intense lines, 5° ≤ 2θ ≤ 70°, most intense first:
| 2theta | intensity | (hkl) |
| --- | --- | --- |
| 24.2 | 100 | 0 1 2 |
| 40.2 | 58 | 1 1 0 |
| 39.4 | 49 | 0 1 8 |
| 23.6 | 27 | 0 0 6 |
| 47.2 | 25 | 1 1 6 |
| 36.2 | 17 | 1 0 7 |

=====

No. 4
Diffraction record for LiGaSn. The X-ray diffraction stick pattern is computed, not measured: it uses a DFT-relaxed cell (GGA-PBE, Alexandria) and Cu Kα X-rays.

Atomic structure:
```
data_LiGaSn
_chemical_formula_sum 'Li2 Ga2 Sn2'
_cell_length_a 4.2715
_cell_length_b 4.2715
_cell_length_c 6.6143
_cell_angle_alpha 90.00
_cell_angle_beta 90.00
_cell_angle_gamma 90.00
_symmetry_space_group_name_H-M 'P 4/n m m'
_symmetry_Int_Tables_number 129
loop_
_symmetry_equiv_pos_as_xyz
'x,y,z'
'-x,-y,-z'
'-y+1/2,x,z'
'y+1/2,-x,-z'
'-x+1/2,-y+1/2,z'
'x+1/2,y+1/2,-z'
'y,-x+1/2,z'
'-y,x+1/2,-z'
'x+1/2,-y,-z'
'-x+1/2,y,z'
'-y,-x,-z'
'y,x,z'
'-x,y+1/2,-z'
'x,-y+1/2,z'
'y+1/2,x+1/2,-z'
'-y+1/2,-x+1/2,z'
loop_
_atom_site_label
_atom_site_type_symbol
_atom_site_fract_x
_atom_site_fract_y
_atom_site_fract_z
Li1 Li 0.2500 0.7500 0.0000
Ga1 Ga 0.2500 0.2500 0.2782
Sn1 Sn 0.2500 0.2500 0.6940
```

Most intense lines, 5° ≤ 2θ ≤ 70°, most intense first:
| 2theta | intensity | (hkl) |
| --- | --- | --- |
| 29.6 | 100 | 1 1 0 |
| 40.4 | 67 | 1 1 2 |
| 27.0 | 43 | 0 0 2 |
| 42.3 | 42 | 2 0 0 |
| 50.9 | 30 | 2 0 2 |
| 51.3 | 23 | 1 1 3 |

=====

No. 5
Diffraction record for Li6GaSn3. The X-ray diffraction stick pattern is computed, not measured: it uses a DFT-relaxed cell (GGA-PBE, Alexandria) and Cu Kα X-rays.

Atomic structure:
```
data_Li6GaSn3
_chemical_formula_sum 'Li18 Ga3 Sn9'
_cell_length_a 11.1842
_cell_length_b 11.1842
_cell_length_c 5.3117
_cell_angle_alpha 90.00
_cell_angle_beta 90.00
_cell_angle_gamma 120.00
_symmetry_space_group_name_H-M 'R 3 m'
_symmetry_Int_Tables_number 160
_symmetry_space_group_name_Hall 'R 3 -2"'
loop_
_atom_site_label
_atom_site_type_symbol
_atom_site_fract_x
_atom_site_fract_y
_atom_site_fract_z
Li1 Li 0.0891 0.1782 0.0000
Li2 Li 0.2204 0.4407 0.0107
Ga1 Ga 0.0000 0.0000 0.6205
Sn1 Sn 0.0042 0.5021 0.1737
```

Most intense lines, 5° ≤ 2θ ≤ 70°, most intense first:
| 2theta | intensity | (hkl) |
| --- | --- | --- |
| 32.0 | 100 | 2 2 0 |
| 24.9 | 79 | 0 2 1 |
| 19.1 | 62 | 1 0 1 |
| 38.7 | 62 | 2 0 2 |
| 29.6 | 45 | 2 1 1 |
| 37.5 | 32 | 1 3 1 |

=====

No. 6
Diffraction record for Li14GaSn. The X-ray diffraction stick pattern is computed, not measured: it uses a DFT-relaxed cell (GGA-PBE, Alexandria) and Cu Kα X-rays.

Atomic structure:
```
data_Li14GaSn
_chemical_formula_sum 'Li14 Ga1 Sn1'
_cell_length_a 6.8152
_cell_length_b 6.8152
_cell_length_c 6.2952
_cell_angle_alpha 90.00
_cell_angle_beta 90.00
_cell_angle_gamma 90.00
_symmetry_space_group_name_H-M 'P 4/m m m'
_symmetry_Int_Tables_number 123
_symmetry_space_group_name_Hall '-P 4 2'
loop_
_atom_site_label
_atom_site_type_symbol
_atom_site_fract_x
_atom_site_fract_y
_atom_site_fract_z
Li1 Li 0.0000 0.0000 0.0000
Li2 Li 0.0000 0.5000 0.0000
Li3 Li 0.0000 0.5000 0.5000
Li4 Li 0.2435 0.2435 0.2703
Li5 Li 0.5000 0.5000 0.0000
Ga1 Ga 0.0000 0.0000 0.5000
Sn1 Sn 0.5000 0.5000 0.5000
```

Most intense lines, 5° ≤ 2θ ≤ 70°, most intense first:
| 2theta | intensity | (hkl) |
| --- | --- | --- |
| 23.2 | 100 | 1 1 1 |
| 18.4 | 86 | 1 1 0 |
| 14.1 | 84 | 0 0 1 |
| 39.0 | 55 | 2 0 2 |
| 29.8 | 51 | 2 0 1 |
| 34.0 | 38 | 1 1 2 |

=====

No. 7
Diffraction record for SrLi2Ga2. The X-ray diffraction stick pattern is computed, not measured: it uses a DFT-relaxed cell (GGA-PBE, Alexandria) and Cu Kα X-rays.

Atomic structure:
```
data_SrLi2Ga2
_chemical_formula_sum 'Sr4 Li8 Ga8'
_cell_length_a 4.4693
_cell_length_b 4.7745
_cell_length_c 21.3687
_cell_angle_alpha 90.00
_cell_angle_beta 90.00
_cell_angle_gamma 90.00
_symmetry_space_group_name_H-M 'I m m a'
_symmetry_Int_Tables_number 74
_symmetry_space_group_name_Hall '-I 2b 2'
loop_
_atom_site_label
_atom_site_type_symbol
_atom_site_fract_x
_atom_site_fract_y
_atom_site_fract_z
Sr1 Sr 0.0000 0.2500 0.1650
Li1 Li 0.0000 0.2500 0.4646
Li2 Li 0.0000 0.2500 0.9628
Ga1 Ga 0.0000 0.2500 0.5999
Ga2 Ga 0.0000 0.2500 0.7187
```

Most intense lines, 5° ≤ 2θ ≤ 70°, most intense first:
| 2theta | intensity | (hkl) |
| --- | --- | --- |
| 28.6 | 100 | 1 1 2 |
| 8.3 | 84 | 0 0 2 |
| 43.1 | 28 | 1 0 9 |
| 28.0 | 26 | 0 1 5 |
| 34.9 | 25 | 0 1 7 |
| 37.7 | 25 | 0 2 0 |

=====

No. 8
Diffraction record for Sr2Li17Ga3. The X-ray diffraction stick pattern is computed, not measured: it uses a DFT-relaxed cell (GGA-PBE, Alexandria) and Cu Kα X-rays.

Atomic structure:
```
data_Sr2Li17Ga3
_chemical_formula_sum 'Sr6 Li51 Ga9'
_cell_length_a 10.7972
_cell_length_b 10.7972
_cell_length_c 15.0789
_cell_angle_alpha 90.00
_cell_angle_beta 90.00
_cell_angle_gamma 120.00
_symmetry_space_group_name_H-M 'R -3 m'
_symmetry_Int_Tables_number 166
_symmetry_space_group_name_Hall '-R 3 2"'
loop_
_atom_site_label
_atom_site_type_symbol
_atom_site_fract_x
_atom_site_fract_y
_atom_site_fract_z
Sr1 Sr 0.0000 0.0000 0.1721
Li1 Li 0.0000 0.0000 0.4079
Li2 Li 0.0000 0.2630 0.5000
Li3 Li 0.0000 0.5000 0.0000
Li4 Li 0.0130 0.5065 0.6735
Ga1 Ga 0.0000 0.5000 0.5000
```

Most intense lines, 5° ≤ 2θ ≤ 70°, most intense first:
| 2theta | intensity | (hkl) |
| --- | --- | --- |
| 11.1 | 100 | 1 0 1 |
| 17.6 | 91 | 0 0 3 |
| 33.2 | 78 | 2 2 0 |
| 15.1 | 66 | 0 1 2 |
| 37.8 | 64 | 2 2 3 |
| 49.6 | 48 | 2 2 6 |

=====

No. 9
Diffraction record for Sr3Li2Ga3. The X-ray diffraction stick pattern is computed, not measured: it uses a DFT-relaxed cell (GGA-PBE, Alexandria) and Cu Kα X-rays.

Atomic structure:
```
data_Sr3Li2Ga3
_chemical_formula_sum 'Sr12 Li8 Ga12'
_cell_length_a 8.1100
_cell_length_b 17.1157
_cell_length_c 6.4204
_cell_angle_alpha 90.00
_cell_angle_beta 90.00
_cell_angle_gamma 90.00
_symmetry_space_group_name_H-M 'P n m a'
_symmetry_Int_Tables_number 62
loop_
_symmetry_equiv_pos_as_xyz
'x,y,z'
'-x,-y,-z'
'-x+1/2,-y,z+1/2'
'x+1/2,y,-z+1/2'
'x+1/2,-y+1/2,-z+1/2'
'-x+1/2,y+1/2,z+1/2'
'-x,y+1/2,-z'
'x,-y+1/2,z'
loop_
_atom_site_label
_atom_site_type_symbol
_atom_site_fract_x
_atom_site_fract_y
_atom_site_fract_z
Sr1 Sr 0.0201 0.1048 0.1396
Sr2 Sr 0.1625 0.2500 0.6026
Li1 Li 0.1411 0.6000 0.3631
Ga1 Ga 0.1617 0.0354 0.5803
Ga2 Ga 0.1995 0.7500 0.6002
```

Most intense lines, 5° ≤ 2θ ≤ 70°, most intense first:
| 2theta | intensity | (hkl) |
| --- | --- | --- |
| 30.4 | 100 | 2 4 0 |
| 27.4 | 56 | 1 4 1 |
| 36.0 | 47 | 3 0 1 |
| 29.9 | 40 | 1 0 2 |
| 33.9 | 29 | 1 3 2 |
| 36.7 | 26 | 1 4 2 |

=====

No. 10
Diffraction record for SrLi6ZnGa. The X-ray diffraction stick pattern is computed, not measured: it uses a DFT-relaxed cell (GGA-PBE, Alexandria) and Cu Kα X-rays.

Atomic structure:
```
data_SrLi6ZnGa
_chemical_formula_sum 'Sr4 Li24 Zn4 Ga4'
_cell_length_a 5.6083
_cell_length_b 10.8386
_cell_length_c 14.2515
_cell_angle_alpha 90.00
_cell_angle_beta 90.00
_cell_angle_gamma 90.00
_symmetry_space_group_name_H-M 'I m m a'
_symmetry_Int_Tables_number 74
_symmetry_space_group_name_Hall '-I 2b 2'
loop_
_atom_site_label
_atom_site_type_symbol
_atom_site_fract_x
_atom_site_fract_y
_atom_site_fract_z
Sr1 Sr 0.0000 0.2500 0.1337
Li1 Li 0.0000 0.2500 0.5651
Li2 Li 0.0000 0.2500 0.9049
Li3 Li 0.2424 0.0353 0.6560
Zn1 Zn 0.0000 0.0000 0.5000
Ga1 Ga 0.2500 0.2500 0.7500
```

Most intense lines, 5° ≤ 2θ ≤ 70°, most intense first:
| 2theta | intensity | (hkl) |
| --- | --- | --- |
| 23.7 | 100 | 1 2 1 |
| 20.6 | 82 | 0 2 2 |
| 44.4 | 67 | 2 2 4 |
| 24.6 | 57 | 1 0 3 |
| 21.8 | 54 | 1 1 2 |
| 20.4 | 54 | 0 1 3 |

=====

No. 11
Diffraction record for Li3TbGa3. The X-ray diffraction stick pattern is computed, not measured: it uses a DFT-relaxed cell (GGA-PBE, Alexandria) and Cu Kα X-rays.

Atomic structure:
```
data_Li3TbGa3
_chemical_formula_sum 'Li6 Tb2 Ga6'
_cell_length_a 8.4255
_cell_length_b 4.4456
_cell_length_c 8.4556
_cell_angle_alpha 90.00
_cell_angle_beta 119.87
_cell_angle_gamma 90.00
_symmetry_space_group_name_H-M 'P 1 21/m 1'
_symmetry_Int_Tables_number 11
loop_
_symmetry_equiv_pos_as_xyz
'x,y,z'
'-x,-y,-z'
'-x,y+1/2,-z'
'x,-y+1/2,z'
loop_
_atom_site_label
_atom_site_type_symbol
_atom_site_fract_x
_atom_site_fract_y
_atom_site_fract_z
Li1 Li 0.0238 0.2500 0.2575
Li2 Li 0.2322 0.2500 0.9750
Li3 Li 0.2580 0.7500 0.2341
Tb1 Tb 0.3345 0.7500 0.6675
Ga1 Ga 0.0713 0.2500 0.6119
Ga2 Ga 0.3868 0.2500 0.4593
Ga3 Ga 0.4582 0.7500 0.0709
```

Most intense lines, 5° ≤ 2θ ≤ 70°, most intense first:
| 2theta | intensity | (hkl) |
| --- | --- | --- |
| 12.1 | 100 | 1 0 0 |
| 38.3 | 57 | 1 1 2 |
| 31.7 | 30 | 2 1 0 |
| 38.4 | 28 | 3 1 -1 |
| 29.2 | 16 | 1 1 1 |
| 40.6 | 15 | 0 2 0 |

=====

No. 12
Diffraction record for LiTb4Ga12. The X-ray diffraction stick pattern is computed, not measured: it uses a DFT-relaxed cell (GGA-PBE, Alexandria) and Cu Kα X-rays.

Atomic structure:
```
data_LiTb4Ga12
_chemical_formula_sum 'Li2 Tb8 Ga24'
_cell_length_a 8.6810
_cell_length_b 8.6810
_cell_length_c 8.6810
_cell_angle_alpha 90.00
_cell_angle_beta 90.00
_cell_angle_gamma 90.00
_symmetry_space_group_name_H-M 'I m -3 m'
_symmetry_Int_Tables_number 229
_symmetry_space_group_name_Hall '-I 4 2 3'
loop_
_atom_site_label
_atom_site_type_symbol
_atom_site_fract_x
_atom_site_fract_y
_atom_site_fract_z
Li1 Li 0.0000 0.0000 0.0000
Tb1 Tb 0.2500 0.2500 0.2500
Ga1 Ga 0.0000 0.0000 0.2957
Ga2 Ga 0.0000 0.2500 0.5000
```

Most intense lines, 5° ≤ 2θ ≤ 70°, most intense first:
| 2theta | intensity | (hkl) |
| --- | --- | --- |
| 35.8 | 100 | 2 2 2 |
| 41.6 | 49 | 4 0 0 |
| 60.3 | 28 | 4 4 0 |
| 29.1 | 19 | 2 2 0 |
| 20.5 | 14 | 2 0 0 |
| 46.8 | 11 | 4 2 0 |